Diffraction record for Mn2GeS4. The powder diffraction line list is computed, not measured: it uses a crystal structure in the Materials Project, relaxed with PBE and Cu Kα (weighted mean of Kα1 and Kα2).
Lines closer than 0.1° are merged.

Structure:
Unit cell a=6.029 b=7.387 c=12.766 alpha=90.00 beta=90.03 gamma=90.00
Element x y z (fractional)
Mn: 0.000 0.000 0.000
Mn: 0.001 0.248 0.272
Mn: 0.001 0.752 0.272
Mn: 0.006 0.500 0.540
Mn: 0.497 0.500 0.041
Mn: 0.501 0.249 0.772
Mn: 0.501 0.751 0.772
Mn: 0.503 0.000 0.501
Ge: 0.084 0.000 0.681
Ge: 0.417 0.000 0.182
Ge: 0.585 0.500 0.362
Ge: 0.919 0.500 0.860
S: 0.216 0.500 0.364
S: 0.245 0.000 0.842
S: 0.247 0.236 0.103
S: 0.247 0.764 0.103
S: 0.255 0.235 0.603
S: 0.255 0.765 0.603
S: 0.257 0.000 0.343
S: 0.288 0.500 0.864
S: 0.715 0.000 0.678
S: 0.744 0.500 0.202
S: 0.752 0.261 0.439
S: 0.752 0.262 0.939
S: 0.752 0.738 0.939
S: 0.752 0.739 0.439
S: 0.758 0.500 0.701
S: 0.786 0.000 0.178

Top 8 peaks for 2θ = 10–90°, sorted by position:
2theta	intensity
18.37	44
25.62	33
28.37	87
29.21	89
31.70	55
41.17	91
49.40	100
53.89	51



Diffraction record for Mn2InCu4Sn. The powder diffraction line list is computed, not measured: it uses a crystal structure in the Materials Project, relaxed with PBE and Cu Kα (weighted mean of Kα1 and Kα2).
Lines closer than 0.1° are merged.

Structure:
Unit cell a=7.604 b=7.604 c=7.604 alpha=33.53 beta=33.53 gamma=33.53
Element x y z (fractional)
Mn: 0.250 0.250 0.250
Mn: 0.750 0.750 0.750
In: 0.000 0.000 0.000
Cu: 0.125 0.125 0.125
Cu: 0.375 0.375 0.375
Cu: 0.625 0.625 0.625
Cu: 0.875 0.875 0.875
Sn: 0.500 0.500 0.500

Top 8 peaks for 2θ = 10–90°, sorted by position:
2theta	intensity
24.85	10
41.14	100
48.67	5
59.59	16
65.57	2
74.98	31
80.41	2
89.30	10



Diffraction record for Ba3Y. The powder diffraction line list is computed, not measured: it uses a crystal structure in the Materials Project, relaxed with PBE and Cu Kα (weighted mean of Kα1 and Kα2).
Lines closer than 0.1° are merged.

Structure:
Unit cell a=5.912 b=5.912 c=11.868 alpha=90.00 beta=90.00 gamma=90.00
Element x y z (fractional)
Ba: 0.000 0.000 0.000
Ba: 0.000 0.500 0.250
Ba: 0.000 0.500 0.750
Ba: 0.500 0.000 0.250
Ba: 0.500 0.000 0.750
Ba: 0.500 0.500 0.500
Y: 0.000 0.000 0.500
Y: 0.500 0.500 0.000

Top 8 peaks for 2θ = 10–90°, sorted by position:
2theta	intensity
26.07	100
30.12	17
30.24	34
43.23	38
51.09	15
51.23	31
53.64	13
69.14	12



Diffraction record for KCuF3. The powder diffraction line list is computed, not measured: it uses a crystal structure in the Materials Project, relaxed with PBE and Cu Kα (weighted mean of Kα1 and Kα2).
Lines closer than 0.1° are merged.

Structure:
Unit cell a=6.330 b=6.330 c=6.330 alpha=111.70 beta=111.70 gamma=105.11
Element x y z (fractional)
K: 0.000 0.000 0.000
K: 0.500 0.500 0.000
Cu: 0.000 0.500 0.500
Cu: 0.500 0.000 0.500
F: 0.186 0.686 0.872
F: 0.250 0.750 0.500
F: 0.314 0.186 0.500
F: 0.686 0.814 0.500
F: 0.750 0.250 0.500
F: 0.814 0.314 0.128

Top 8 peaks for 2θ = 10–90°, sorted by position:
2theta	intensity
17.65	63
23.11	100
25.06	99
34.35	32
35.74	81
42.99	50
58.04	26
60.61	29



Diffraction record for LuMn2Si2. The powder diffraction line list is computed, not measured: it uses a crystal structure in the Materials Project, relaxed with PBE and Cu Kα (weighted mean of Kα1 and Kα2).
Lines closer than 0.1° are merged.

Structure:
Unit cell a=3.854 b=3.854 c=10.226 alpha=90.00 beta=90.00 gamma=90.00
Element x y z (fractional)
Lu: 0.000 0.000 0.000
Lu: 0.500 0.500 0.500
Mn: 0.000 0.500 0.250
Mn: 0.000 0.500 0.750
Mn: 0.500 0.000 0.250
Mn: 0.500 0.000 0.750
Si: 0.000 0.000 0.381
Si: 0.000 0.000 0.619
Si: 0.500 0.500 0.119
Si: 0.500 0.500 0.881

Top 8 peaks for 2θ = 10–90°, sorted by position:
2theta	intensity
24.69	58
35.14	80
37.39	100
47.17	35
50.52	24
60.15	41
71.60	18
81.13	20



Diffraction record for Cr2As. The powder diffraction line list is computed, not measured: it uses a crystal structure in the Materials Project, relaxed with PBE and Cu Kα (weighted mean of Kα1 and Kα2).
Lines closer than 0.1° are merged.

Structure:
Unit cell a=6.439 b=6.439 c=3.610 alpha=90.00 beta=90.00 gamma=120.00
Element x y z (fractional)
Cr: 0.000 0.397 0.000
Cr: 0.000 0.749 0.500
Cr: 0.251 0.251 0.500
Cr: 0.397 0.000 0.000
Cr: 0.603 0.603 0.000
Cr: 0.749 0.000 0.500
As: 0.000 0.000 0.000
As: 0.333 0.667 0.500
As: 0.667 0.333 0.500

Top 8 peaks for 2θ = 10–90°, sorted by position:
2theta	intensity
37.43	90
40.90	100
42.91	35
49.00	49
50.12	53
50.57	31
73.08	28
79.48	29



Diffraction record for GeO2. The powder diffraction line list is computed, not measured: it uses a crystal structure in the Materials Project, relaxed with PBE and Cu Kα (weighted mean of Kα1 and Kα2).
Lines closer than 0.1° are merged.

Structure:
Unit cell a=7.663 b=7.663 c=7.645 alpha=104.13 beta=104.13 gamma=120.38
Element x y z (fractional)
Ge: 0.042 0.324 0.075
Ge: 0.196 0.375 0.543
Ge: 0.324 0.042 0.575
Ge: 0.375 0.196 0.043
Ge: 0.625 0.804 0.957
Ge: 0.676 0.958 0.425
Ge: 0.804 0.625 0.457
Ge: 0.958 0.676 0.925
O: 0.000 0.500 0.000
O: 0.044 0.801 0.428
O: 0.117 0.420 0.333
O: 0.199 0.956 0.072
O: 0.264 0.347 0.024
O: 0.347 0.264 0.524
O: 0.360 0.640 0.750
O: 0.420 0.117 0.833
O: 0.500 0.000 0.500
O: 0.580 0.883 0.167
O: 0.640 0.360 0.250
O: 0.653 0.736 0.476
O: 0.736 0.653 0.976
O: 0.801 0.044 0.928
O: 0.883 0.580 0.667
O: 0.956 0.199 0.572

Top 8 peaks for 2θ = 10–90°, sorted by position:
2theta	intensity
24.22	41
26.82	100
26.99	39
30.89	14
38.29	14
49.96	9
64.39	9
64.65	9



- What is the formula in the seventh record?
  GeO2